[1]
Structure and computed X-ray powder pattern of Sr3Th5Bi8 (a crystal structure in Alexandria, relaxed with GGA-PBE; a wavelength of 1.5418 Å).
No peak broadening, texture or thermal motion is included.

The 8 most intense peaks (2θ = 5–70°), by angle:
- 26.96°, intensity 100, hkl 0 2 4
- 38.38°, intensity 40, hkl 2 0 8
- 38.62°, intensity 40, hkl 2 2 0
- 47.73°, intensity 22, hkl 4 0 4
- 55.58°, intensity 14, hkl 0 4 8
- 62.68°, intensity 19, hkl 2 2 12
- 63.00°, intensity 19, hkl 2 4 4
- 69.72°, intensity 14, hkl 4 2 8

Crystal structure
Cell lengths 9.3263, 9.3263, 23.0442 Å; angles 90.00, 90.00, 120.00 degrees
Space group R-3m (No. 166, hexagonal axes)
Inequivalent atoms, fractional coordinates:
Sr (0.0000, 0.5000, 0.0000)
Th (0.0000, 0.0000, 0.0000)
Th (0.0000, 0.0000, 0.5000)
Th (0.0000, 0.5000, 0.5000)
Bi (0.0000, 0.0000, 0.2446)
Bi (0.0051, 0.5026, 0.7525)

***

[2]
Structure and computed X-ray powder pattern of Sr4TlBi5 (a crystal structure in Alexandria, relaxed with GGA-PBE; a wavelength of 1.5418 Å).
No peak broadening, texture or thermal motion is included.

The 8 most intense peaks (2θ = 5–70°), by angle:
- 18.98°, intensity 30, hkl 0 2 2
- 28.67°, intensity 91, hkl 1 0 3
- 29.37°, intensity 100, hkl 1 3 0
- 31.93°, intensity 34, hkl 1 2 3
- 34.45°, intensity 19, hkl 1 1 4
- 39.89°, intensity 28, hkl 0 0 6
- 42.12°, intensity 22, hkl 2 0 0
- 50.34°, intensity 27, hkl 1 3 6

Crystal structure
Cell lengths 4.2909, 12.9288, 13.5445 Å; angles 90.00, 90.00, 90.00 degrees
Space group Immm (No. 71)
Inequivalent atoms, fractional coordinates:
Sr (0.0000, 0.0000, 0.2348)
Sr (0.0000, 0.3022, 0.5000)
Tl (0.0000, 0.0000, 0.5000)
Bi (0.0000, 0.0000, 0.0000)
Bi (0.0000, 0.3095, 0.1813)

***

[3]
Structure and computed X-ray powder pattern of Sr2Tl3Bi3 (a crystal structure in Alexandria, relaxed with GGA-PBE; a wavelength of 1.5418 Å).
No peak broadening, texture or thermal motion is included.

The 8 most intense peaks (2θ = 5–70°), by angle:
- 30.59°, intensity 100, hkl 1 1 2
- 34.57°, intensity 18, hkl 0 2 0
- 35.72°, intensity 17, hkl 0 0 4
- 36.10°, intensity 16, hkl 2 0 0
- 59.49°, intensity 16, hkl 1 3 2
- 61.01°, intensity 14, hkl 1 1 6
- 61.52°, intensity 14, hkl 3 1 2
- 63.68°, intensity 13, hkl 2 2 4

Crystal structure
Cell lengths 4.9768, 5.1893, 10.0550 Å; angles 90.00, 90.00, 90.00 degrees
Space group Pmmm (No. 47)
Inequivalent atoms, fractional coordinates:
Sr (0.0000, 0.0000, 0.2473)
Tl (0.0000, 0.5000, 0.5000)
Tl (0.5000, 0.5000, 0.2573)
Bi (0.0000, 0.5000, 0.0000)
Bi (0.5000, 0.0000, 0.0000)
Bi (0.5000, 0.0000, 0.5000)